For RbAl2AgF8, a PBE-relaxed structure gives the computed powder diffractogram in this record (CuKα).
Peak positions follow from Bragg's law for the DFT cell and can differ from measured ones.

Principal peaks in the range 2θ from 10° to 90°, low angle first:
two_theta	I_rel
19.8	21
24.0	100
31.9	42
36.4	28
39.8	40
40.3	20
52.3	19
56.8	18
58.4	21
77.2	12

Cell and atoms:
```
data_RbAl2AgF8
_chemical_formula_sum 'Rb1 Al2 Ag1 F8'
_space_group_name_H-M_alt 'P 1'
_space_group_IT_number 1
_cell_length_a 8.3064
_cell_length_b 8.3064
_cell_length_c 8.3064
_cell_angle_alpha 39.51
_cell_angle_beta 39.51
_cell_angle_gamma 39.51
loop_
_space_group_symop_operation_xyz
'x,y,z'
loop_
_atom_site_label
_atom_site_fract_x
_atom_site_fract_y
_atom_site_fract_z
Rb1 0.0000 0.0000 0.0000
Al1 0.2492 0.2492 0.2492
Al2 0.7508 0.7508 0.7508
Ag1 0.5000 0.5000 0.5000
F1 0.0495 0.4715 0.7964
F2 0.2036 0.9505 0.5285
F3 0.3234 0.3234 0.3234
F4 0.4715 0.7964 0.0495
F5 0.5285 0.2036 0.9505
F6 0.6766 0.6766 0.6766
F7 0.7964 0.0495 0.4715
F8 0.9505 0.5285 0.2036
```



For Al4FeAg, a PBE-relaxed structure gives the computed powder diffractogram in this record (CuKα).
Peak positions follow from Bragg's law for the DFT cell and can differ from measured ones.

Principal peaks in the range 2θ from 10° to 90°, low angle first:
two_theta	I_rel
26.1	100
34.2	8
42.4	35
43.7	61
50.5	31
52.7	13
61.5	10
69.9	11
78.5	18
81.2	9

Cell and atoms:
```
data_Al4FeAg
_chemical_formula_sum 'Al8 Fe2 Ag2'
_space_group_name_H-M_alt 'P 1'
_space_group_IT_number 1
_cell_length_a 7.1209
_cell_length_b 7.1209
_cell_length_c 7.1209
_cell_angle_alpha 129.90
_cell_angle_beta 129.90
_cell_angle_gamma 73.57
loop_
_space_group_symop_operation_xyz
'x,y,z'
loop_
_atom_site_label
_atom_site_fract_x
_atom_site_fract_y
_atom_site_fract_z
Al1 0.0000 0.2165 0.2165
Al2 0.0000 0.7835 0.7835
Al3 0.2165 0.0000 0.7165
Al4 0.2165 0.5000 0.2165
Al5 0.5000 0.2165 0.7165
Al6 0.5000 0.7835 0.2835
Al7 0.7835 0.0000 0.2835
Al8 0.7835 0.5000 0.7835
Fe1 0.1250 0.8750 0.2500
Fe2 0.8750 0.1250 0.7500
Ag1 0.3750 0.6250 0.7500
Ag2 0.6250 0.3750 0.2500
```



For Al7GaAg12, a PBE-relaxed structure gives the computed powder diffractogram in this record (CuKα).
Peak positions follow from Bragg's law for the DFT cell and can differ from measured ones.

Principal peaks in the range 2θ from 10° to 90°, low angle first:
two_theta	I_rel
20.1	13
25.9	19
31.0	42
33.0	28
34.8	39
40.1	100
41.1	66
43.9	39
65.3	29
79.4	21

Cell and atoms:
```
data_Al7GaAg12
_chemical_formula_sum 'Al7 Ga1 Ag12'
_space_group_name_H-M_alt 'P 1'
_space_group_IT_number 1
_cell_length_a 7.4420
_cell_length_b 7.4420
_cell_length_c 7.4420
_cell_angle_alpha 106.17
_cell_angle_beta 106.17
_cell_angle_gamma 106.17
loop_
_space_group_symop_operation_xyz
'x,y,z'
loop_
_atom_site_label
_atom_site_fract_x
_atom_site_fract_y
_atom_site_fract_z
Al1 0.0000 0.0000 0.0000
Al2 0.1695 0.6060 0.4766
Al3 0.3940 0.5234 0.8305
Al4 0.4766 0.1695 0.6060
Al5 0.5234 0.8305 0.3940
Al6 0.6060 0.4766 0.1695
Al7 0.8305 0.3940 0.5234
Ga1 0.5000 0.5000 0.5000
Ag1 0.1058 0.2081 0.4683
Ag2 0.1457 0.8387 0.2638
Ag3 0.1613 0.7362 0.8543
Ag4 0.2081 0.4683 0.1058
Ag5 0.2638 0.1457 0.8387
Ag6 0.4683 0.1058 0.2081
Ag7 0.5317 0.8942 0.7919
Ag8 0.7362 0.8543 0.1613
Ag9 0.7919 0.5317 0.8942
Ag10 0.8387 0.2638 0.1457
Ag11 0.8543 0.1613 0.7362
Ag12 0.8942 0.7919 0.5317
```



For Al4Ga2Ag3, a PBE-relaxed structure gives the computed powder diffractogram in this record (CuKα).
Peak positions follow from Bragg's law for the DFT cell and can differ from measured ones.

Principal peaks in the range 2θ from 10° to 90°, low angle first:
two_theta	I_rel
18.5	46
23.2	30
30.7	25
36.5	100
36.9	97
38.6	83
40.1	76
43.9	57
44.3	64
44.5	56

Cell and atoms:
```
data_Al4Ga2Ag3
_chemical_formula_sum 'Al4 Ga2 Ag3'
_space_group_name_H-M_alt 'P 1'
_space_group_IT_number 1
_cell_length_a 4.8672
_cell_length_b 5.2046
_cell_length_c 6.5487
_cell_angle_alpha 72.18
_cell_angle_beta 86.07
_cell_angle_gamma 79.81
loop_
_space_group_symop_operation_xyz
'x,y,z'
loop_
_atom_site_label
_atom_site_fract_x
_atom_site_fract_y
_atom_site_fract_z
Al1 0.0458 0.2805 0.3910
Al2 0.1705 0.8272 0.1666
Al3 0.8295 0.1728 0.8334
Al4 0.9542 0.7195 0.6090
Ga1 0.3803 0.9515 0.7188
Ga2 0.6197 0.0485 0.2812
Ag1 0.2735 0.3716 0.9566
Ag2 0.5000 0.5000 0.5000
Ag3 0.7265 0.6284 0.0434
```